This entry pairs a crystal structure of Ac4Pm3 with its computed powder X-ray diffraction pattern. Radiation: Cu Ka. Structure: a cell relaxed with PBE.
Kinematic intensities with the Lorentz-polarization factor, no thermal factor.

Crystal structure
```
data_Ac4Pm3
_chemical_formula_sum 'Ac8 Pm6'
_cell_length_a 12.2089
_cell_length_b 5.4916
_cell_length_c 8.4958
_cell_angle_alpha 90.00
_cell_angle_beta 97.69
_cell_angle_gamma 90.00
_space_group_name_H-M_alt 'C 1 2/m 1'
_space_group_IT_number 12
loop_
_space_group_symop_operation_xyz
'x,y,z'
'-x,-y,-z'
'-x,y,-z'
'x,-y,z'
'x+1/2,y+1/2,z'
'-x+1/2,-y+1/2,-z'
'-x+1/2,y+1/2,-z'
'x+1/2,-y+1/2,z'
loop_
_atom_site_label
_atom_site_type_symbol
_atom_site_fract_x
_atom_site_fract_y
_atom_site_fract_z
Ac1 Ac 0.0688 0.0000 0.2276
Ac2 Ac 0.1441 0.5000 0.9239
Pm1 Pm 0.0000 0.5000 0.5000
Pm2 Pm 0.2192 0.0000 0.6374
```

The 12 most intense peaks (10° ≤ 2θ ≤ 90°), in order of rising 2θ:
hkl 3 1 -1, 28.34°, I 100
hkl 1 1 2, 28.46°, I 99
hkl 0 2 0, 32.61°, I 35
hkl 4 0 1, 32.77°, I 35
hkl 2 0 -3, 33.35°, I 32
hkl 4 2 1, 46.91°, I 26
hkl 2 2 -3, 47.33°, I 37
hkl 1 3 2, 55.65°, I 31
hkl 7 1 0, 55.76°, I 15
hkl 5 1 3, 55.96°, I 15
hkl 5 1 -4, 56.51°, I 15
hkl 1 1 -5, 56.71°, I 14